Diffraction record for In4Sn3O12. The PXRD pattern is simulated, not measured: it uses DFT lattice parameters and positions (PBE) and copper Kα.
Neutral-atom scattering factors, no anomalous dispersion.

Atomic structure:
```
data_In4Sn3O12
_chemical_formula_sum 'In4 Sn3 O12'
_cell_length_a 6.271
_cell_length_b 6.352
_cell_length_c 6.366
_cell_angle_alpha 99.55
_cell_angle_beta 99.54
_cell_angle_gamma 99.73
_space_group_name_H-M_alt 'P 1'
_space_group_IT_number 1
loop_
_space_group_symop_operation_xyz
'x,y,z'
loop_
_atom_site_label
_atom_site_fract_x
_atom_site_fract_y
_atom_site_fract_z
In1 0.000 0.000 0.000
In2 0.090 0.551 0.255
In3 0.534 0.290 0.178
In4 0.706 0.815 0.467
Sn1 0.256 0.083 0.543
Sn2 0.397 0.691 0.863
Sn3 0.792 0.372 0.723
O1 0.077 0.585 0.908
O2 0.218 0.266 0.293
O3 0.301 0.759 0.555
O4 0.340 0.002 0.958
O5 0.453 0.373 0.752
O6 0.481 0.626 0.173
O7 0.574 0.104 0.461
O8 0.715 0.768 0.804
O9 0.810 0.271 0.024
O10 0.812 0.496 0.446
O11 0.986 0.117 0.682
O12 0.986 0.866 0.288
```

The 6 most intense peaks (10° ≤ 2θ ≤ 90°), in order of falling intensity:
- d 2.995, 29.83 deg, intensity 1000, hkl 1 -2 0
- d 2.961, 30.18 deg, intensity 490, hkl 2 0 -1
- d 2.983, 29.96 deg, intensity 462, hkl 1 1 1
- d 1.834, 49.72 deg, intensity 279, hkl 1 -3 2
- d 2.596, 34.55 deg, intensity 200, hkl -1 1 2
- d 2.573, 34.88 deg, intensity 199, hkl 2 -1 1

Diffraction record for BaCoCu3Se4. The PXRD pattern is simulated, not measured: it uses DFT lattice parameters and positions (PBE) and copper Kα.
Neutral-atom scattering factors, no anomalous dispersion.

Atomic structure:
```
data_BaCoCu3Se4
_chemical_formula_sum 'Ba2 Co2 Cu6 Se8'
_cell_length_a 8.707
_cell_length_b 8.708
_cell_length_c 6.078
_cell_angle_alpha 90.00
_cell_angle_beta 90.04
_cell_angle_gamma 90.00
_space_group_name_H-M_alt 'C 1 m 1'
_space_group_IT_number 8
loop_
_space_group_symop_operation_xyz
'x,y,z'
'x,-y,z'
'x+1/2,y+1/2,z'
'x+1/2,-y+1/2,z'
loop_
_atom_site_label
_atom_site_fract_x
_atom_site_fract_y
_atom_site_fract_z
Ba1 0.000 0.000 0.000
Co1 0.001 0.500 0.500
Cu1 0.000 0.500 0.000
Cu2 0.250 0.250 0.500
Se1 0.000 0.282 0.717
Se2 0.218 0.500 0.282
Se3 0.282 0.000 0.283
```

The 6 most intense peaks (10° ≤ 2θ ≤ 90°), in order of falling intensity:
- d 3.539, 25.16 deg, intensity 1000, hkl 2 0 1
- d 2.163, 41.76 deg, intensity 691, hkl 2 2 2
- d 2.177, 41.48 deg, intensity 353, hkl 4 0 0
- d 1.854, 49.14 deg, intensity 274, hkl 4 2 -1
- d 4.326, 20.53 deg, intensity 188, hkl 1 1 1
- d 1.254, 75.87 deg, intensity 172, hkl 6 2 -2

Diffraction record for Sm2Si2Ru. The PXRD pattern is simulated, not measured: it uses DFT lattice parameters and positions (PBE) and copper Kα.
Neutral-atom scattering factors, no anomalous dispersion.

Atomic structure:
```
data_Sm2Si2Ru
_chemical_formula_sum 'Sm2 Si2 Ru1'
_cell_length_a 2.854
_cell_length_b 2.854
_cell_length_c 13.998
_cell_angle_alpha 90.00
_cell_angle_beta 90.00
_cell_angle_gamma 90.00
_space_group_name_H-M_alt 'P 4/m m m'
_space_group_IT_number 123
_space_group_name_Hall '-P 4 2'
loop_
_atom_site_label
_atom_site_fract_x
_atom_site_fract_y
_atom_site_fract_z
Sm1 0.000 0.000 0.124
Si1 0.000 0.000 0.335
Ru1 0.000 0.000 0.500
```

The 6 most intense peaks (10° ≤ 2θ ≤ 90°), in order of falling intensity:
- d 2.854, 31.34 deg, intensity 1000, hkl 1 0 0
- d 4.666, 19.02 deg, intensity 513, hkl 0 0 3
- d 1.999, 45.38 deg, intensity 427, hkl 1 0 5
- d 2.435, 36.92 deg, intensity 395, hkl 1 0 3
- d 2.018, 44.91 deg, intensity 366, hkl 1 1 0
- d 2.799, 31.97 deg, intensity 323, hkl 0 0 5

Diffraction record for Ca3Ti2Si4O14. The PXRD pattern is simulated, not measured: it uses DFT lattice parameters and positions (PBE) and copper Kα.
Neutral-atom scattering factors, no anomalous dispersion.

Atomic structure:
```
data_Ca3Ti2Si4O14
_chemical_formula_sum 'Ca12 Ti8 Si16 O56'
_cell_length_a 17.296
_cell_length_b 7.767
_cell_length_c 10.106
_cell_angle_alpha 90.00
_cell_angle_beta 123.62
_cell_angle_gamma 90.00
_space_group_name_H-M_alt 'C 1 2/c 1'
_space_group_IT_number 15
loop_
_space_group_symop_operation_xyz
'x,y,z'
'-x,-y,-z'
'-x,y,-z+1/2'
'x,-y,z+1/2'
'x+1/2,y+1/2,z'
'-x+1/2,-y+1/2,-z'
'-x+1/2,y+1/2,-z+1/2'
'x+1/2,-y+1/2,z+1/2'
loop_
_atom_site_label
_atom_site_fract_x
_atom_site_fract_y
_atom_site_fract_z
Ca1 0.000 0.150 0.250
Ca2 0.200 0.464 0.464
Ti1 0.000 0.303 0.750
Ti2 0.000 0.500 0.000
Si1 0.126 0.156 0.646
Si2 0.177 0.210 0.155
O1 0.053 0.094 0.688
O2 0.074 0.470 0.729
O3 0.085 0.293 0.497
O4 0.101 0.331 0.007
O5 0.167 0.008 0.091
O6 0.183 0.212 0.320
O7 0.222 0.226 0.815
```

The 6 most intense peaks (10° ≤ 2θ ≤ 90°), in order of falling intensity:
- d 3.225, 27.66 deg, intensity 1000, hkl 1 1 2
- d 3.128, 28.54 deg, intensity 782, hkl 5 1 -2
- d 2.808, 31.87 deg, intensity 755, hkl 4 2 -2
- d 2.877, 31.09 deg, intensity 693, hkl 4 2 -1
- d 2.314, 38.91 deg, intensity 672, hkl 6 2 -2
- d 2.854, 31.35 deg, intensity 536, hkl 0 2 2

Diffraction record for Cs3TlCl6. The PXRD pattern is simulated, not measured: it uses DFT lattice parameters and positions (PBE) and copper Kα.
Neutral-atom scattering factors, no anomalous dispersion.

Atomic structure:
```
data_Cs3TlCl6
_chemical_formula_sum 'Cs12 Tl4 Cl24'
_cell_length_a 11.761
_cell_length_b 11.761
_cell_length_c 11.761
_cell_angle_alpha 90.00
_cell_angle_beta 90.00
_cell_angle_gamma 90.00
_space_group_name_H-M_alt 'F m -3 m'
_space_group_IT_number 225
_space_group_name_Hall '-F 4 2 3'
loop_
_atom_site_label
_atom_site_fract_x
_atom_site_fract_y
_atom_site_fract_z
Cs1 0.000 0.000 0.000
Cs2 0.250 0.250 0.250
Tl1 0.000 0.000 0.500
Cl1 0.000 0.000 0.277
```

The 6 most intense peaks (10° ≤ 2θ ≤ 90°), in order of falling intensity:
- d 4.158, 21.37 deg, intensity 1000, hkl 2 2 0
- d 2.940, 30.40 deg, intensity 481, hkl 4 0 0
- d 2.401, 37.46 deg, intensity 454, hkl 4 2 2
- d 2.079, 43.53 deg, intensity 332, hkl 4 4 0
- d 1.572, 58.75 deg, intensity 279, hkl 6 4 2
- d 1.860, 48.98 deg, intensity 251, hkl 6 2 0

Diffraction record for BaSb2Ru2. The PXRD pattern is simulated, not measured: it uses DFT lattice parameters and positions (PBE) and copper Kα.
Neutral-atom scattering factors, no anomalous dispersion.

Atomic structure:
```
data_BaSb2Ru2
_chemical_formula_sum 'Ba2 Sb4 Ru4'
_cell_length_a 4.498
_cell_length_b 4.498
_cell_length_c 12.375
_cell_angle_alpha 90.00
_cell_angle_beta 90.00
_cell_angle_gamma 90.00
_space_group_name_H-M_alt 'I 4/m m m'
_space_group_IT_number 139
_space_group_name_Hall '-I 4 2'
loop_
_atom_site_label
_atom_site_fract_x
_atom_site_fract_y
_atom_site_fract_z
Ba1 0.000 0.000 0.000
Sb1 0.000 0.000 0.356
Ru1 0.000 0.500 0.250
```

The 6 most intense peaks (10° ≤ 2θ ≤ 90°), in order of falling intensity:
- d 3.040, 29.38 deg, intensity 1000, hkl 1 0 3
- d 2.249, 40.09 deg, intensity 583, hkl 2 0 0
- d 2.829, 31.63 deg, intensity 530, hkl 1 1 2
- d 1.808, 50.48 deg, intensity 436, hkl 2 1 3
- d 1.731, 52.91 deg, intensity 375, hkl 1 1 6
- d 2.218, 40.68 deg, intensity 281, hkl 1 1 4

Diffraction record for LiAs3. The PXRD pattern is simulated, not measured: it uses DFT lattice parameters and positions (PBE) and copper Kα.
Neutral-atom scattering factors, no anomalous dispersion.

Atomic structure:
```
data_LiAs3
_chemical_formula_sum 'Li2 As6'
_cell_length_a 4.2112
_cell_length_b 4.2112
_cell_length_c 9.7316
_cell_angle_alpha 90.00
_cell_angle_beta 90.00
_cell_angle_gamma 120.00
_space_group_name_H-M_alt 'P 63/m m c'
_space_group_IT_number 194
_space_group_name_Hall '-P 6c 2c'
loop_
_atom_site_label
_atom_site_fract_x
_atom_site_fract_y
_atom_site_fract_z
Li1 0.3333 0.6667 0.2500
As1 0.0000 0.0000 0.2500
As2 0.3333 0.6667 0.5718
```

The 6 most intense peaks (10° ≤ 2θ ≤ 90°), in order of falling intensity:
- d 2.918, 30.64 deg, intensity 1000, hkl 1 0 2
- d 2.106, 42.95 deg, intensity 730, hkl 1 1 0
- d 2.424, 37.09 deg, intensity 722, hkl 1 0 3
- d 3.415, 26.09 deg, intensity 293, hkl 1 0 1
- d 1.285, 73.74 deg, intensity 255, hkl 1 1 6
- d 1.708, 53.68 deg, intensity 201, hkl 2 0 2

Diffraction record for ZnAgF5. The PXRD pattern is simulated, not measured: it uses DFT lattice parameters and positions (PBE) and copper Kα.
Neutral-atom scattering factors, no anomalous dispersion.

Atomic structure:
```
data_ZnAgF5
_chemical_formula_sum 'Zn4 Ag4 F20'
_cell_length_a 5.353
_cell_length_b 10.135
_cell_length_c 7.971
_cell_angle_alpha 90.00
_cell_angle_beta 110.95
_cell_angle_gamma 90.00
_space_group_name_H-M_alt 'P 1 21/c 1'
_space_group_IT_number 14
loop_
_space_group_symop_operation_xyz
'x,y,z'
'-x,-y,-z'
'-x,y+1/2,-z+1/2'
'x,-y+1/2,z+1/2'
loop_
_atom_site_label
_atom_site_fract_x
_atom_site_fract_y
_atom_site_fract_z
Zn1 0.015 0.003 0.248
Ag1 0.396 0.246 0.601
F1 0.094 0.105 0.573
F2 0.131 0.102 0.990
F3 0.274 0.623 0.342
F4 0.348 0.184 0.339
F5 0.348 0.587 0.803
```

The 6 most intense peaks (10° ≤ 2θ ≤ 90°), in order of falling intensity:
- d 3.559, 25.02 deg, intensity 1000, hkl 1 2 0
- d 3.494, 25.49 deg, intensity 459, hkl 0 1 2
- d 3.461, 25.74 deg, intensity 407, hkl 1 1 -2
- d 4.484, 19.80 deg, intensity 354, hkl 1 1 0
- d 3.000, 29.78 deg, intensity 204, hkl 0 2 2
- d 1.807, 50.52 deg, intensity 198, hkl 1 4 2

> Which formula does entry 8 have?

ZnAgF5